1.
Na4Ti3CrS8: theoretical X-ray diffraction stick pattern (λ = 1.5418 Å (Cu Kα)), based on a crystal structure in Alexandria, relaxed with PBE.
No peak broadening, texture or thermal motion is included.

Main lines, low angle first (2θ = 15–90°):
2θ 34.0, intensity 100; 2θ 43.2, intensity 10; 2θ 46.8, intensity 31; 2θ 50.7, intensity 30; 2θ 62.5, intensity 14; 2θ 84.5, intensity 12

Structural model:
```
data_Na4Ti3CrS8
_cell_length_a 7.1980
_cell_length_b 7.1980
_cell_length_c 19.8247
_cell_angle_alpha 90.00
_cell_angle_beta 90.00
_cell_angle_gamma 120.00
_symmetry_space_group_name_H-M 'R -3 m'
_symmetry_Int_Tables_number 166
_symmetry_space_group_name_Hall '-R 3 2"'
loop_
_atom_site_label
_atom_site_fract_x
_atom_site_fract_y
_atom_site_fract_z
_atom_site_occupancy
Na1 0.0000 0.0000 0.0000 1
Na2 0.0000 0.5000 0.0000 1
Ti1 0.0000 0.5000 0.5000 1
Cr1 0.0000 0.0000 0.5000 1
S1 0.0000 0.0000 0.2374 1
S2 0.0034 0.5017 0.2353 1
```

---

2.
NaPrP: theoretical X-ray diffraction stick pattern (λ = 1.5418 Å (Cu Kα)), based on a crystal structure in Alexandria, relaxed with PBE.
No peak broadening, texture or thermal motion is included.

Main lines, low angle first (2θ = 15–90°):
2θ 21.7, intensity 100; 2θ 25.8, intensity 56; 2θ 29.9, intensity 66; 2θ 36.6, intensity 65; 2θ 46.2, intensity 35; 2θ 52.7, intensity 36

Structural model:
```
data_NaPrP
_cell_length_a 4.9162
_cell_length_b 4.9162
_cell_length_c 29.4174
_cell_angle_alpha 90.00
_cell_angle_beta 90.00
_cell_angle_gamma 120.00
_symmetry_space_group_name_H-M 'R -3 m'
_symmetry_Int_Tables_number 166
_symmetry_space_group_name_Hall '-R 3 2"'
loop_
_atom_site_label
_atom_site_fract_x
_atom_site_fract_y
_atom_site_fract_z
_atom_site_occupancy
Na1 0.0000 0.0000 0.1295 1
Pr1 0.0000 0.0000 0.2864 1
P1 0.0000 0.0000 0.3845 1
```

---

3.
TlAg6Te4: theoretical X-ray diffraction stick pattern (λ = 1.5418 Å (Cu Kα)), based on a crystal structure in Alexandria, relaxed with PBE.
No peak broadening, texture or thermal motion is included.

Main lines, low angle first (2θ = 15–90°):
2θ 24.9, intensity 88; 2θ 29.3, intensity 33; 2θ 31.0, intensity 30; 2θ 37.2, intensity 100; 2θ 41.0, intensity 76; 2θ 64.5, intensity 38

Structural model:
```
data_TlAg6Te4
_cell_length_a 4.402
_cell_length_b 4.402
_cell_length_c 30.627
_cell_angle_alpha 90.00
_cell_angle_beta 90.00
_cell_angle_gamma 90.00
_symmetry_space_group_name_H-M 'I 4/m m m'
_symmetry_Int_Tables_number 139
_symmetry_space_group_name_Hall '-I 4 2'
loop_
_atom_site_label
_atom_site_fract_x
_atom_site_fract_y
_atom_site_fract_z
_atom_site_occupancy
Tl1 0.000 0.000 0.000 1
Ag1 0.000 0.500 0.122 1
Ag2 0.000 0.500 0.250 1
Te1 0.000 0.000 0.188 1
Te2 0.000 0.000 0.436 1
```

---

4.
La5SmDy3: theoretical X-ray diffraction stick pattern (λ = 1.5418 Å (Cu Kα)), based on a crystal structure in Alexandria, relaxed with PBE.
No peak broadening, texture or thermal motion is included.

Main lines, low angle first (2θ = 15–90°):
2θ 29.0, intensity 45; 2θ 30.8, intensity 89; 2θ 31.2, intensity 100; 2θ 31.5, intensity 88; 2θ 31.6, intensity 51; 2θ 33.1, intensity 39

Structural model:
```
data_La5SmDy3
_cell_length_a 19.036
_cell_length_b 6.586
_cell_length_c 11.510
_cell_angle_alpha 90.00
_cell_angle_beta 115.28
_cell_angle_gamma 90.00
_symmetry_space_group_name_H-M 'C 1 2/c 1'
_symmetry_Int_Tables_number 15
loop_
_symmetry_equiv_pos_as_xyz
'x,y,z'
'-x,-y,-z'
'-x,y,-z+1/2'
'x,-y,z+1/2'
'x+1/2,y+1/2,z'
'-x+1/2,-y+1/2,-z'
'-x+1/2,y+1/2,-z+1/2'
'x+1/2,-y+1/2,z+1/2'
loop_
_atom_site_label
_atom_site_fract_x
_atom_site_fract_y
_atom_site_fract_z
_atom_site_occupancy
La1 0.000 0.096 0.250 1
La2 0.168 0.197 0.712 1
La3 0.171 0.323 0.360 1
Sm1 0.000 0.366 0.750 1
Dy1 0.000 0.500 0.000 1
Dy2 0.160 0.210 0.015 1
```

---

5.
CeHo3Th4S8: theoretical X-ray diffraction stick pattern (λ = 1.5418 Å (Cu Kα)), based on a crystal structure in Alexandria, relaxed with PBE.
No peak broadening, texture or thermal motion is included.

Main lines, low angle first (2θ = 15–90°):
2θ 26.6, intensity 29; 2θ 27.7, intensity 69; 2θ 31.8, intensity 100; 2θ 44.9, intensity 38; 2θ 46.3, intensity 35; 2θ 74.5, intensity 26

Structural model:
```
data_CeHo3Th4S8
_cell_length_a 7.8361
_cell_length_b 7.8361
_cell_length_c 20.1124
_cell_angle_alpha 90.00
_cell_angle_beta 90.00
_cell_angle_gamma 120.00
_symmetry_space_group_name_H-M 'R -3 m'
_symmetry_Int_Tables_number 166
_symmetry_space_group_name_Hall '-R 3 2"'
loop_
_atom_site_label
_atom_site_fract_x
_atom_site_fract_y
_atom_site_fract_z
_atom_site_occupancy
Ce1 0.0000 0.0000 0.0000 1
Ho1 0.0000 0.5000 0.0000 1
Th1 0.0000 0.0000 0.5000 1
Th2 0.0000 0.5000 0.5000 1
S1 0.0000 0.0000 0.2559 1
S2 0.0059 0.5029 0.2546 1
```

---

6.
Pu2TlPd5: theoretical X-ray diffraction stick pattern (λ = 1.5418 Å (Cu Kα)), based on a crystal structure in Alexandria, relaxed with PBE.
No peak broadening, texture or thermal motion is included.

Main lines, low angle first (2θ = 15–90°):
2θ 27.5, intensity 13; 2θ 31.0, intensity 15; 2θ 36.8, intensity 100; 2θ 39.2, intensity 48; 2θ 56.7, intensity 14; 2θ 69.5, intensity 24

Structural model:
```
data_Pu2TlPd5
_cell_length_a 6.494
_cell_length_b 6.494
_cell_length_c 7.405
_cell_angle_alpha 90.00
_cell_angle_beta 90.00
_cell_angle_gamma 90.00
_symmetry_space_group_name_H-M 'I 4 m m'
_symmetry_Int_Tables_number 107
_symmetry_space_group_name_Hall 'I 4 -2'
loop_
_atom_site_label
_atom_site_fract_x
_atom_site_fract_y
_atom_site_fract_z
_atom_site_occupancy
Pu1 0.000 0.500 0.000 1
Tl1 0.000 0.000 0.410 1
Pd1 0.000 0.000 0.024 1
Pd2 0.216 0.216 0.741 1
```

---

7.
Pm2Zn6Cu3: theoretical X-ray diffraction stick pattern (λ = 1.5418 Å (Cu Kα)), based on a crystal structure in Alexandria, relaxed with PBE.
No peak broadening, texture or thermal motion is included.

Main lines, low angle first (2θ = 15–90°):
2θ 32.3, intensity 100; 2θ 37.1, intensity 28; 2θ 42.3, intensity 28; 2θ 43.2, intensity 91; 2θ 62.1, intensity 19; 2θ 71.1, intensity 18

Structural model:
```
data_Pm2Zn6Cu3
_cell_length_a 7.4018
_cell_length_b 7.4018
_cell_length_c 4.1856
_cell_angle_alpha 90.00
_cell_angle_beta 90.00
_cell_angle_gamma 120.00
_symmetry_space_group_name_H-M 'P -6 2 m'
_symmetry_Int_Tables_number 189
_symmetry_space_group_name_Hall 'P -6 -2'
loop_
_atom_site_label
_atom_site_fract_x
_atom_site_fract_y
_atom_site_fract_z
_atom_site_occupancy
Pm1 0.3333 0.6667 0.0000 1
Zn1 0.0000 0.1998 0.0000 1
Zn2 0.0000 0.7273 0.5000 1
Cu1 0.0000 0.3900 0.5000 1
```

---

8.
ScIn: theoretical X-ray diffraction stick pattern (λ = 1.5418 Å (Cu Kα)), based on a crystal structure in Alexandria, relaxed with PBE.
No peak broadening, texture or thermal motion is included.

Main lines, low angle first (2θ = 15–90°):
2θ 20.3, intensity 22; 2θ 34.2, intensity 26; 2θ 35.2, intensity 100; 2θ 37.4, intensity 21; 2θ 51.6, intensity 16; 2θ 61.9, intensity 17

Structural model:
```
data_ScIn
_cell_length_a 3.676
_cell_length_b 4.814
_cell_length_c 10.482
_cell_angle_alpha 90.00
_cell_angle_beta 90.00
_cell_angle_gamma 90.00
_symmetry_space_group_name_H-M 'I m m a'
_symmetry_Int_Tables_number 74
_symmetry_space_group_name_Hall '-I 2b 2'
loop_
_atom_site_label
_atom_site_fract_x
_atom_site_fract_y
_atom_site_fract_z
_atom_site_occupancy
Sc1 0.000 0.250 0.124 1
In1 0.000 0.250 0.633 1
```

---

9.
Br7O5: theoretical X-ray diffraction stick pattern (λ = 1.5418 Å (Cu Kα)), based on a crystal structure in Alexandria, relaxed with PBE.
No peak broadening, texture or thermal motion is included.

Main lines, low angle first (2θ = 15–90°):
2θ 20.6, intensity 48; 2θ 22.2, intensity 41; 2θ 25.3, intensity 100; 2θ 30.7, intensity 51; 2θ 31.7, intensity 44; 2θ 35.7, intensity 35

Structural model:
```
data_Br7O5
_cell_length_a 5.112
_cell_length_b 5.351
_cell_length_c 13.885
_cell_angle_alpha 87.23
_cell_angle_beta 84.13
_cell_angle_gamma 67.90
_symmetry_space_group_name_H-M 'P 1'
_symmetry_Int_Tables_number 1
loop_
_symmetry_equiv_pos_as_xyz
'x,y,z'
loop_
_atom_site_label
_atom_site_fract_x
_atom_site_fract_y
_atom_site_fract_z
_atom_site_occupancy
Br1 0.000 0.000 0.000 1
Br2 0.014 0.282 0.718 1
Br3 0.160 0.580 0.443 1
Br4 0.292 0.863 0.162 1
Br5 0.431 0.716 0.632 1
Br6 0.467 0.475 0.921 1
Br7 0.865 0.440 0.262 1
O1 0.154 0.832 0.542 1
O2 0.155 0.325 0.344 1
O3 0.568 0.536 0.154 1
O4 0.738 0.138 0.894 1
O5 0.752 0.613 0.735 1
```

---

10.
Ac8Te4AuSe3: theoretical X-ray diffraction stick pattern (λ = 1.5418 Å (Cu Kα)), based on a crystal structure in Alexandria, relaxed with PBE.
No peak broadening, texture or thermal motion is included.

Main lines, low angle first (2θ = 15–90°):
2θ 27.2, intensity 100; 2θ 38.5, intensity 38; 2θ 39.3, intensity 39; 2θ 48.5, intensity 21; 2θ 63.0, intensity 16; 2θ 64.1, intensity 18

Structural model:
```
data_Ac8Te4AuSe3
_cell_length_a 15.885
_cell_length_b 9.170
_cell_length_c 9.353
_cell_angle_alpha 90.00
_cell_angle_beta 124.49
_cell_angle_gamma 90.00
_symmetry_space_group_name_H-M 'C 1 2/m 1'
_symmetry_Int_Tables_number 12
loop_
_symmetry_equiv_pos_as_xyz
'x,y,z'
'-x,-y,-z'
'-x,y,-z'
'x,-y,z'
'x+1/2,y+1/2,z'
'-x+1/2,-y+1/2,-z'
'-x+1/2,y+1/2,-z'
'x+1/2,-y+1/2,z'
loop_
_atom_site_label
_atom_site_fract_x
_atom_site_fract_y
_atom_site_fract_z
_atom_site_occupancy
Ac1 0.006 0.247 0.272 1
Ac2 0.242 0.000 0.728 1
Ac3 0.242 0.500 0.727 1
Te1 0.000 0.000 0.000 1
Te2 0.000 0.500 0.000 1
Te3 0.250 0.250 0.000 1
Au1 0.000 0.000 0.500 1
Se1 0.000 0.500 0.500 1
Se2 0.250 0.250 0.500 1
```

---

11.
Ba4NaAuO8: theoretical X-ray diffraction stick pattern (λ = 1.5418 Å (Cu Kα)), based on a crystal structure in Alexandria, relaxed with PBE.
No peak broadening, texture or thermal motion is included.

Main lines, low angle first (2θ = 15–90°):
2θ 16.3, intensity 24; 2θ 23.6, intensity 14; 2θ 30.6, intensity 56; 2θ 32.5, intensity 100; 2θ 43.9, intensity 28; 2θ 55.7, intensity 42

Structural model:
```
data_Ba4NaAuO8
_cell_length_a 5.834
_cell_length_b 5.834
_cell_length_c 14.798
_cell_angle_alpha 90.00
_cell_angle_beta 90.00
_cell_angle_gamma 90.00
_symmetry_space_group_name_H-M 'I 4/m m m'
_symmetry_Int_Tables_number 139
_symmetry_space_group_name_Hall '-I 4 2'
loop_
_atom_site_label
_atom_site_fract_x
_atom_site_fract_y
_atom_site_fract_z
_atom_site_occupancy
Ba1 0.000 0.500 0.126 1
Na1 0.000 0.000 0.000 1
Au1 0.000 0.000 0.500 1
O1 0.000 0.000 0.177 1
O2 0.000 0.000 0.282 1
O3 0.241 0.241 0.500 1
```

---

12.
Pm2Dy4Te9: theoretical X-ray diffraction stick pattern (λ = 1.5418 Å (Cu Kα)), based on a crystal structure in Alexandria, relaxed with PBE.
No peak broadening, texture or thermal motion is included.

Main lines, low angle first (2θ = 15–90°):
2θ 15.6, intensity 35; 2θ 21.3, intensity 27; 2θ 26.2, intensity 92; 2θ 34.3, intensity 100; 2θ 40.2, intensity 64; 2θ 53.9, intensity 26

Structural model:
```
data_Pm2Dy4Te9
_cell_length_a 13.446
_cell_length_b 7.762
_cell_length_c 21.217
_cell_angle_alpha 90.00
_cell_angle_beta 90.00
_cell_angle_gamma 90.00
_symmetry_space_group_name_H-M 'C 1 2/c 1'
_symmetry_Int_Tables_number 15
loop_
_symmetry_equiv_pos_as_xyz
'x,y,z'
'-x,-y,-z'
'-x,y,-z+1/2'
'x,-y,z+1/2'
'x+1/2,y+1/2,z'
'-x+1/2,-y+1/2,-z'
'-x+1/2,y+1/2,-z+1/2'
'x+1/2,-y+1/2,z+1/2'
loop_
_atom_site_label
_atom_site_fract_x
_atom_site_fract_y
_atom_site_fract_z
_atom_site_occupancy
Pm1 0.000 0.000 0.155 1
Dy1 0.167 0.500 0.009 1
Dy2 0.167 0.500 0.323 1
Te1 0.000 0.317 0.250 1
Te2 0.010 0.352 0.917 1
Te3 0.159 0.159 0.750 1
Te4 0.171 0.190 0.417 1
Te5 0.181 0.161 0.083 1
```

---

13.
LaCoTcGe2: theoretical X-ray diffraction stick pattern (λ = 1.5418 Å (Cu Kα)), based on a crystal structure in Alexandria, relaxed with PBE.
No peak broadening, texture or thermal motion is included.

Main lines, low angle first (2θ = 15–90°):
2θ 33.6, intensity 96; 2θ 34.6, intensity 100; 2θ 42.6, intensity 72; 2θ 55.4, intensity 46; 2θ 61.9, intensity 23; 2θ 62.4, intensity 28

Structural model:
```
data_LaCoTcGe2
_cell_length_a 4.243
_cell_length_b 4.243
_cell_length_c 10.274
_cell_angle_alpha 90.00
_cell_angle_beta 90.00
_cell_angle_gamma 90.00
_symmetry_space_group_name_H-M 'I -4 m 2'
_symmetry_Int_Tables_number 119
_symmetry_space_group_name_Hall 'I -4 -2'
loop_
_atom_site_label
_atom_site_fract_x
_atom_site_fract_y
_atom_site_fract_z
_atom_site_occupancy
La1 0.000 0.000 0.000 1
Co1 0.000 0.500 0.750 1
Tc1 0.000 0.500 0.250 1
Ge1 0.000 0.000 0.365 1
```